Record 1
Diffraction record for Li6V5SbO12. The X-ray diffraction stick pattern is calculated, not measured: it uses the PBE+U geometry in the Materials Project and Cu Ka.
Intensities are scaled so that the largest is 100.

Peak list (10 most intense, 2θ = 15–90°, sorted by position)
d = 5.182 Å, I = 100
d = 2.619 Å, I = 14
d = 2.549 Å, I = 11
d = 2.517 Å, I = 22
d = 2.225 Å, I = 12
d = 2.191 Å, I = 22
d = 2.023 Å, I = 17
d = 1.702 Å, I = 10
d = 1.571 Å, I = 10
d = 1.552 Å, I = 13

Structural model:
```
data_Li6V5SbO12
_cell_length_a 5.406
_cell_length_b 9.156
_cell_length_c 20.816
_cell_angle_alpha 90.00
_cell_angle_beta 95.25
_cell_angle_gamma 90.00
_space_group_name_H-M_alt 'C 1 2/c 1'
_space_group_IT_number 15
loop_
_space_group_symop_operation_xyz
'x,y,z'
'-x,-y,-z'
'-x,y,-z+1/2'
'x,-y,z+1/2'
'x+1/2,y+1/2,z'
'-x+1/2,-y+1/2,-z'
'-x+1/2,y+1/2,-z+1/2'
'x+1/2,-y+1/2,z+1/2'
loop_
_atom_site_label
_atom_site_fract_x
_atom_site_fract_y
_atom_site_fract_z
Li1 0.119 0.250 0.106
Li2 0.122 0.084 0.607
Li3 0.123 0.416 0.607
V1 0.000 0.085 0.250
V2 0.000 0.415 0.250
V3 0.250 0.079 0.000
V4 0.250 0.250 0.500
Sb1 0.000 0.249 0.750
O1 0.063 0.076 0.444
O2 0.063 0.424 0.444
O3 0.077 0.250 0.947
O4 0.134 0.414 0.699
O5 0.153 0.093 0.698
O6 0.164 0.257 0.198
```

Record 2
Diffraction record for LiSbWO6. The X-ray diffraction stick pattern is calculated, not measured: it uses the PBE+U geometry in the Materials Project and Cu Ka.
Intensities are scaled so that the largest is 100.

Peak list (10 most intense, 2θ = 15–90°, sorted by position)
d = 3.145 Å, I = 79
d = 3.111 Å, I = 40
d = 3.094 Å, I = 36
d = 3.016 Å, I = 100
d = 2.957 Å, I = 99
d = 2.586 Å, I = 59
d = 1.829 Å, I = 61
d = 1.742 Å, I = 23
d = 1.572 Å, I = 30
d = 1.547 Å, I = 27

Structural model:
```
data_LiSbWO6
_cell_length_a 7.209
_cell_length_b 7.426
_cell_length_c 10.346
_cell_angle_alpha 90.00
_cell_angle_beta 90.00
_cell_angle_gamma 90.00
_space_group_name_H-M_alt 'I m m a'
_space_group_IT_number 74
_space_group_name_Hall '-I 2b 2'
loop_
_atom_site_label
_atom_site_fract_x
_atom_site_fract_y
_atom_site_fract_z
Li1 0.000 0.000 0.000
Sb1 0.250 0.250 0.250
W1 0.000 0.000 0.500
O1 0.000 0.250 0.166
O2 0.000 0.250 0.555
O3 0.194 0.056 0.378
```

Record 3
Diffraction record for LiSbWO6. The X-ray diffraction stick pattern is calculated, not measured: it uses the PBE+U geometry in the Materials Project and Cu Ka.
Intensities are scaled so that the largest is 100.

Peak list (10 most intense, 2θ = 15–90°, sorted by position)
d = 4.597 Å, I = 57
d = 4.419 Å, I = 35
d = 3.708 Å, I = 26
d = 3.345 Å, I = 31
d = 2.998 Å, I = 100
d = 2.557 Å, I = 17
d = 2.228 Å, I = 15
d = 2.097 Å, I = 17
d = 1.742 Å, I = 22
d = 1.739 Å, I = 17

Structural model:
```
data_LiSbWO6
_cell_length_a 4.759
_cell_length_b 17.741
_cell_length_c 5.094
_cell_angle_alpha 90.00
_cell_angle_beta 90.00
_cell_angle_gamma 90.00
_space_group_name_H-M_alt 'P b c n'
_space_group_IT_number 60
loop_
_space_group_symop_operation_xyz
'x,y,z'
'-x,-y,-z'
'-x+1/2,-y+1/2,z+1/2'
'x+1/2,y+1/2,-z+1/2'
'x+1/2,-y+1/2,-z'
'-x+1/2,y+1/2,z'
'-x,y,-z+1/2'
'x,-y,z+1/2'
loop_
_atom_site_label
_atom_site_fract_x
_atom_site_fract_y
_atom_site_fract_z
Li1 0.000 0.048 0.250
Sb1 0.000 0.282 0.750
W1 0.000 0.397 0.250
O1 0.206 0.364 0.561
O2 0.240 0.293 0.080
O3 0.246 0.042 0.606
```

Record 4
Diffraction record for LiSbWO6. The X-ray diffraction stick pattern is calculated, not measured: it uses the PBE+U geometry in the Materials Project and Cu Ka.
Intensities are scaled so that the largest is 100.

Peak list (10 most intense, 2θ = 15–90°, sorted by position)
d = 3.126 Å, I = 55
d = 3.115 Å, I = 28
d = 2.989 Å, I = 100
d = 2.593 Å, I = 20
d = 2.375 Å, I = 23
d = 1.994 Å, I = 22
d = 1.833 Å, I = 15
d = 1.829 Å, I = 30
d = 1.752 Å, I = 22
d = 1.563 Å, I = 29

Structural model:
```
data_LiSbWO6
_cell_length_a 7.333
_cell_length_b 7.333
_cell_length_c 10.322
_cell_angle_alpha 90.00
_cell_angle_beta 90.00
_cell_angle_gamma 90.00
_space_group_name_H-M_alt 'P 41 2 2'
_space_group_IT_number 91
loop_
_space_group_symop_operation_xyz
'x,y,z'
'-y,x,z+1/4'
'-x,-y,z+1/2'
'y,-x,z+3/4'
'x,-y,-z+1/2'
'-y,-x,-z+1/4'
'-x,y,-z'
'y,x,-z+3/4'
loop_
_atom_site_label
_atom_site_fract_x
_atom_site_fract_y
_atom_site_fract_z
Li1 0.000 0.267 0.000
Sb1 0.000 0.242 0.500
W1 0.243 0.500 0.250
O1 0.039 0.039 0.375
O2 0.057 0.448 0.379
O3 0.234 0.255 0.182
O4 0.427 0.427 0.375
```

Record 5
Diffraction record for LiScVO4. The X-ray diffraction stick pattern is calculated, not measured: it uses the PBE+U geometry in the Materials Project and Cu Ka.
Intensities are scaled so that the largest is 100.

Peak list (10 most intense, 2θ = 15–90°, sorted by position)
d = 5.056 Å, I = 100
d = 4.908 Å, I = 54
d = 2.649 Å, I = 21
d = 2.583 Å, I = 35
d = 2.561 Å, I = 11
d = 2.174 Å, I = 61
d = 2.123 Å, I = 27
d = 1.686 Å, I = 14
d = 1.573 Å, I = 10
d = 1.519 Å, I = 34

Structural model:
```
data_LiScVO4
_cell_length_a 6.013
_cell_length_b 6.292
_cell_length_c 8.493
_cell_angle_alpha 90.00
_cell_angle_beta 90.00
_cell_angle_gamma 90.00
_space_group_name_H-M_alt 'I m m 2'
_space_group_IT_number 44
loop_
_space_group_symop_operation_xyz
'x,y,z'
'-x,-y,z'
'-x,y,z'
'x,-y,z'
'x+1/2,y+1/2,z+1/2'
'-x+1/2,-y+1/2,z+1/2'
'-x+1/2,y+1/2,z+1/2'
'x+1/2,-y+1/2,z+1/2'
loop_
_atom_site_label
_atom_site_fract_x
_atom_site_fract_y
_atom_site_fract_z
Li1 0.000 0.000 0.000
Li2 0.000 0.500 0.238
Sc1 0.000 0.250 0.618
V1 0.249 0.500 0.869
O1 0.000 0.214 0.373
O2 0.000 0.284 0.864
O3 0.233 0.500 0.644
O4 0.234 0.000 0.594
```

Record 6
Diffraction record for Sr2LiV2Si4O14. The X-ray diffraction stick pattern is calculated, not measured: it uses the PBE+U geometry in the Materials Project and Cu Ka.
Intensities are scaled so that the largest is 100.

Peak list (10 most intense, 2θ = 15–90°, sorted by position)
d = 3.899 Å, I = 63
d = 3.762 Å, I = 25
d = 3.435 Å, I = 26
d = 3.340 Å, I = 43
d = 2.966 Å, I = 100
d = 2.725 Å, I = 32
d = 2.612 Å, I = 24
d = 2.179 Å, I = 23
d = 2.135 Å, I = 21
d = 1.984 Å, I = 24

Structural model:
```
data_Sr2LiV2Si4O14
_cell_length_a 7.258
_cell_length_b 5.451
_cell_length_c 15.598
_cell_angle_alpha 90.00
_cell_angle_beta 90.00
_cell_angle_gamma 90.00
_space_group_name_H-M_alt 'A m m 2'
_space_group_IT_number 38
loop_
_space_group_symop_operation_xyz
'x,y,z'
'-x,-y,z'
'-x,y,z'
'x,-y,z'
'x,y+1/2,z+1/2'
'-x,-y+1/2,z+1/2'
'-x,y+1/2,z+1/2'
'x,-y+1/2,z+1/2'
loop_
_atom_site_label
_atom_site_fract_x
_atom_site_fract_y
_atom_site_fract_z
Sr1 0.000 0.000 0.000
Sr2 0.500 0.000 0.354
Li1 0.500 0.000 0.533
V1 0.000 0.000 0.317
V2 0.500 0.000 0.099
Si1 0.214 0.000 0.606
Si2 0.270 0.000 0.810
O1 0.000 0.000 0.213
O2 0.000 0.000 0.571
O3 0.191 0.247 0.857
O4 0.226 0.000 0.709
O5 0.306 0.241 0.561
O6 0.500 0.000 0.213
O7 0.500 0.000 0.829
```

Record 7
Diffraction record for Sr2LiV2Si4O14. The X-ray diffraction stick pattern is calculated, not measured: it uses the PBE+U geometry in the Materials Project and Cu Ka.
Intensities are scaled so that the largest is 100.

Peak list (10 most intense, 2θ = 15–90°, sorted by position)
d = 3.698 Å, I = 76
d = 3.306 Å, I = 31
d = 3.274 Å, I = 79
d = 3.196 Å, I = 51
d = 2.970 Å, I = 35
d = 2.950 Å, I = 100
d = 2.905 Å, I = 28
d = 2.731 Å, I = 61
d = 2.593 Å, I = 28
d = 1.798 Å, I = 33

Structural model:
```
data_Sr2LiV2Si4O14
_cell_length_a 5.464
_cell_length_b 7.197
_cell_length_c 7.835
_cell_angle_alpha 88.15
_cell_angle_beta 70.77
_cell_angle_gamma 89.22
_space_group_name_H-M_alt 'P 1'
_space_group_IT_number 1
loop_
_space_group_symop_operation_xyz
'x,y,z'
loop_
_atom_site_label
_atom_site_fract_x
_atom_site_fract_y
_atom_site_fract_z
Sr1 0.000 0.000 0.000
Sr2 0.362 0.516 0.215
Li1 0.298 0.253 0.610
V1 0.065 0.514 0.850
V2 0.252 0.994 0.405
Si1 0.579 0.785 0.828
Si2 0.582 0.236 0.841
Si3 0.770 0.733 0.396
Si4 0.771 0.286 0.402
O1 0.049 0.191 0.308
O2 0.060 0.812 0.299
O3 0.153 0.021 0.651
O4 0.168 0.506 0.627
O5 0.286 0.319 0.921
O6 0.288 0.697 0.921
O7 0.522 0.221 0.352
O8 0.550 0.008 0.889
O9 0.554 0.815 0.313
O10 0.676 0.276 0.624
O11 0.681 0.756 0.614
O12 0.780 0.697 0.926
O13 0.781 0.319 0.935
O14 0.807 0.510 0.339
```

Record 8
Diffraction record for Sr2LiV2Si4O14. The X-ray diffraction stick pattern is calculated, not measured: it uses the PBE+U geometry in the Materials Project and Cu Ka.
Intensities are scaled so that the largest is 100.

Peak list (10 most intense, 2θ = 15–90°, sorted by position)
d = 3.747 Å, I = 61
d = 3.317 Å, I = 28
d = 3.069 Å, I = 28
d = 2.980 Å, I = 100
d = 2.706 Å, I = 20
d = 2.636 Å, I = 16
d = 2.462 Å, I = 15
d = 2.007 Å, I = 35
d = 1.823 Å, I = 17
d = 1.785 Å, I = 16

Structural model:
```
data_Sr2LiV2Si4O14
_cell_length_a 5.514
_cell_length_b 7.138
_cell_length_c 7.634
_cell_angle_alpha 90.00
_cell_angle_beta 101.03
_cell_angle_gamma 90.00
_space_group_name_H-M_alt 'P 1 m 1'
_space_group_IT_number 6
loop_
_space_group_symop_operation_xyz
'x,y,z'
'x,-y,z'
loop_
_atom_site_label
_atom_site_fract_x
_atom_site_fract_y
_atom_site_fract_z
Sr1 0.000 0.000 0.000
Sr2 0.160 0.500 0.701
Li1 0.513 0.000 0.779
V1 0.018 0.500 0.127
V2 0.086 0.000 0.537
Si1 0.521 0.229 0.119
Si2 0.608 0.272 0.546
O1 0.078 0.500 0.347
O2 0.081 0.000 0.304
O3 0.248 0.314 0.031
O4 0.375 0.196 0.629
O5 0.503 0.000 0.043
O6 0.570 0.234 0.334
O7 0.618 0.500 0.588
O8 0.757 0.308 0.044
O9 0.873 0.192 0.649
```